Simulated PXRD pattern of TbSm5Bi6 for CuKα, from a PBE-relaxed structure.
Lines closer than 0.1° are merged.

Atomic structure:
Unit cell a=7.878 b=13.645 c=7.877 alpha=90.00 beta=109.50 gamma=90.00
Space group C2/m (No. 12)
Asymmetric unit:
Tb 0.000 0.000 0.000 [2 per cell]
Sm 0.000 0.168 0.500 [4 per cell]
Sm 0.000 0.334 0.000 [4 per cell]
Sm 0.000 0.500 0.500 [2 per cell]
Bi 0.248 0.000 0.751 [4 per cell]
Bi 0.248 0.165 0.248 [8 per cell]

Principal peaks in the range 2θ from 10° to 90°, by intensity:
2θ = 27.74°, rel. 100.0, hkl 1 3 1; 2θ = 39.63°, rel. 78.5, hkl 2 0 2; 2θ = 64.83°, rel. 37.7, hkl 4 6 0; 2θ = 49.07°, rel. 28.6, hkl 4 0 0; 2θ = 71.92°, rel. 28.0, hkl 5 3 1; 2θ = 57.30°, rel. 13.6, hkl 2 6 2

Simulated PXRD pattern of BaCa5Ac for CuKα, from a PBE-relaxed structure.
Lines closer than 0.1° are merged.

Atomic structure:
Unit cell a=6.334 b=6.334 c=8.739 alpha=90.00 beta=90.00 gamma=90.00
Space group P4/mmm (No. 123)
Asymmetric unit:
Ba 0.000 0.000 0.000 [1 per cell]
Ca 0.000 0.500 0.269 [4 per cell]
Ca 0.500 0.500 0.000 [1 per cell]
Ac 0.000 0.000 0.500 [1 per cell]

Principal peaks in the range 2θ from 10° to 90°, by intensity:
2θ = 28.54°, rel. 100.0, hkl 1 1 2; 2θ = 13.98°, rel. 78.2, hkl 1 0 0; 2θ = 28.18°, rel. 52.6, hkl 2 0 0; 2θ = 24.75°, rel. 42.6, hkl 1 0 2; 2θ = 50.10°, rel. 40.5, hkl 3 1 2; 2θ = 37.85°, rel. 28.8, hkl 2 1 2

Simulated PXRD pattern of La2Dy3Ga4 for CuKα, from a PBE-relaxed structure.
Lines closer than 0.1° are merged.

Atomic structure:
Unit cell a=8.074 b=8.079 c=7.694 alpha=90.00 beta=106.81 gamma=90.00
Space group P2_1/c (No. 14)
Asymmetric unit:
La 0.191 0.179 0.074 [4 per cell]
Dy 0.242 0.675 0.251 [4 per cell]
Dy 0.500 0.000 0.500 [2 per cell]
Ga 0.080 0.533 0.871 [4 per cell]
Ga 0.497 0.117 0.878 [4 per cell]

Principal peaks in the range 2θ from 10° to 90°, by intensity:
2θ = 31.79°, rel. 100.0, hkl 1 1 2; 2θ = 36.77°, rel. 43.5, hkl 1 1 -3; 2θ = 32.05°, rel. 41.0, hkl 2 2 0; 2θ = 35.49°, rel. 29.3, hkl 0 3 1; 2θ = 36.29°, rel. 21.3, hkl 3 0 -2; 2θ = 30.36°, rel. 19.4, hkl 2 1 -2

Copy entry 1 word for word.
Simulated PXRD pattern of TbSm5Bi6 for CuKα, from a PBE-relaxed structure.
Lines closer than 0.1° are merged.

Atomic structure:
Unit cell a=7.878 b=13.645 c=7.877 alpha=90.00 beta=109.50 gamma=90.00
Space group C2/m (No. 12)
Asymmetric unit:
Tb 0.000 0.000 0.000 [2 per cell]
Sm 0.000 0.168 0.500 [4 per cell]
Sm 0.000 0.334 0.000 [4 per cell]
Sm 0.000 0.500 0.500 [2 per cell]
Bi 0.248 0.000 0.751 [4 per cell]
Bi 0.248 0.165 0.248 [8 per cell]

Principal peaks in the range 2θ from 10° to 90°, by intensity:
2θ = 27.74°, rel. 100.0, hkl 1 3 1; 2θ = 39.63°, rel. 78.5, hkl 2 0 2; 2θ = 64.83°, rel. 37.7, hkl 4 6 0; 2θ = 49.07°, rel. 28.6, hkl 4 0 0; 2θ = 71.92°, rel. 28.0, hkl 5 3 1; 2θ = 57.30°, rel. 13.6, hkl 2 6 2

What did the first record say?
Simulated PXRD pattern of TbSm5Bi6 for CuKα, from a PBE-relaxed structure.
Lines closer than 0.1° are merged.

Atomic structure:
Unit cell a=7.878 b=13.645 c=7.877 alpha=90.00 beta=109.50 gamma=90.00
Space group C2/m (No. 12)
Asymmetric unit:
Tb 0.000 0.000 0.000 [2 per cell]
Sm 0.000 0.168 0.500 [4 per cell]
Sm 0.000 0.334 0.000 [4 per cell]
Sm 0.000 0.500 0.500 [2 per cell]
Bi 0.248 0.000 0.751 [4 per cell]
Bi 0.248 0.165 0.248 [8 per cell]

Principal peaks in the range 2θ from 10° to 90°, by intensity:
2θ = 27.74°, rel. 100.0, hkl 1 3 1; 2θ = 39.63°, rel. 78.5, hkl 2 0 2; 2θ = 64.83°, rel. 37.7, hkl 4 6 0; 2θ = 49.07°, rel. 28.6, hkl 4 0 0; 2θ = 71.92°, rel. 28.0, hkl 5 3 1; 2θ = 57.30°, rel. 13.6, hkl 2 6 2